# 1
# PrSnAsIrPd
Calculated powder XRD pattern, Cu Ka. Input: a DFT-relaxed cell (GGA-PBE, OQMD).
Kinematic intensities with the Lorentz-polarization factor, no thermal factor.

The 10 most intense peaks (2θ from 10° to 90°), sorted by position:
2θ (°), intensity
26.3, 19
32.8, 46
33.2, 100
40.5, 70
45.2, 31
48.3, 28
53.0, 26
58.6, 24
64.8, 23
69.0, 24

Structure:
Unit cell a=4.4588 b=4.4588 c=10.3856 alpha=90.00 beta=90.00 gamma=90.00
Space group P4/nmm (No. 129, origin choice 2)
Unique sites:
Pr (0.2500, 0.2500, 0.2343) (multiplicity 2)
Sn (0.2500, 0.7500, 0.5000) (multiplicity 2)
As (0.2500, 0.2500, 0.8719) (multiplicity 2)
Ir (0.2500, 0.2500, 0.6417) (multiplicity 2)
Pd (0.2500, 0.7500, 0.0000) (multiplicity 2)

***

# 2
# PrSnAsIrPd
Calculated powder XRD pattern, Cu Ka. Input: a DFT-relaxed cell (GGA-PBE, OQMD).
Kinematic intensities with the Lorentz-polarization factor, no thermal factor.

The 10 most intense peaks (2θ from 10° to 90°), sorted by position:
2θ (°), intensity
32.8, 56
33.0, 100
40.0, 74
45.2, 30
48.5, 17
52.6, 29
57.9, 25
61.3, 17
64.6, 14
68.3, 25

Structure:
Unit cell a=4.5069 b=4.5069 c=10.3169 alpha=90.00 beta=90.00 gamma=90.00
Space group P4/nmm (No. 129, origin choice 2)
Unique sites:
Pr (0.2500, 0.2500, 0.2413) (multiplicity 2)
Sn (0.2500, 0.2500, 0.6375) (multiplicity 2)
As (0.2500, 0.7500, 0.0000) (multiplicity 2)
Ir (0.2500, 0.7500, 0.5000) (multiplicity 2)
Pd (0.2500, 0.2500, 0.8913) (multiplicity 2)

***

# 3
# PuAs2Ir2
Calculated powder XRD pattern, Cu Ka. Input: a DFT-relaxed cell (GGA-PBE, OQMD).
Kinematic intensities with the Lorentz-polarization factor, no thermal factor.

The 10 most intense peaks (2θ from 10° to 90°), sorted by position:
2θ (°), intensity
31.1, 20
33.8, 68
34.7, 100
42.7, 64
49.6, 27
55.5, 34
61.9, 21
67.4, 22
73.0, 24
89.7, 16

Structure:
Unit cell a=4.2385 b=4.2385 c=10.2032 alpha=90.00 beta=90.00 gamma=90.00
Space group P4/nmm (No. 129, origin choice 2)
Unique sites:
Pu (0.2500, 0.2500, 0.2462) (multiplicity 2)
As (0.2500, 0.2500, 0.6382) (multiplicity 2)
As (0.2500, 0.7500, 0.0000) (multiplicity 2)
Ir (0.2500, 0.2500, 0.8753) (multiplicity 2)
Ir (0.2500, 0.7500, 0.5000) (multiplicity 2)

***

# 4
# RbAs5Ir3
Calculated powder XRD pattern, Cu Ka. Input: a DFT-relaxed cell (GGA-PBE, OQMD).
Kinematic intensities with the Lorentz-polarization factor, no thermal factor.

The 10 most intense peaks (2θ from 10° to 90°), sorted by position:
2θ (°), intensity
11.0, 100
21.4, 18
22.1, 11
37.1, 17
38.8, 27
43.6, 51
45.2, 10
50.8, 15
66.8, 10
84.3, 10

Structure:
Unit cell a=5.6011 b=5.6011 c=8.0316 alpha=90.00 beta=90.00 gamma=120.00
Space group P6/mmm (No. 191)
Unique sites:
Rb (0.0000, 0.0000, 0.0000) (multiplicity 1)
As (0.0000, 0.0000, 0.5000) (multiplicity 1)
As (0.3333, 0.6667, 0.2596) (multiplicity 4)
Ir (0.0000, 0.5000, 0.5000) (multiplicity 3)

***

# 5
# Zr2SbAsIr2
Calculated powder XRD pattern, Cu Ka. Input: a DFT-relaxed cell (GGA-PBE, OQMD).
Kinematic intensities with the Lorentz-polarization factor, no thermal factor.

The 8 most intense peaks (2θ from 10° to 90°), sorted by position:
2θ (°), intensity
24.6, 61
40.7, 100
48.1, 31
58.9, 17
64.8, 13
74.1, 34
79.4, 10
88.2, 11

Structure:
Unit cell a=10.8575 b=4.4329 c=10.8583 alpha=90.00 beta=109.47 gamma=90.00
Space group Pm (No. 6)
Unique sites:
Zr (0.0000, 0.0000, 0.0000) (multiplicity 1)
Zr (0.1191, 0.5000, 0.3730) (multiplicity 1)
Zr (0.2427, 0.0000, 0.7464) (multiplicity 1)
Zr (0.3748, 0.5000, 0.1215) (multiplicity 1)
Zr (0.5041, 0.0000, 0.4955) (multiplicity 1)
Zr (0.6296, 0.5000, 0.8779) (multiplicity 1)
Zr (0.7528, 0.0000, 0.2512) (multiplicity 1)
Zr (0.8759, 0.5000, 0.6207) (multiplicity 1)
Sb (0.2493, 0.0000, 0.2486) (multiplicity 1)
Sb (0.3749, 0.5000, 0.6231) (multiplicity 1)
Sb (0.5003, 0.0000, 0.9988) (multiplicity 1)
Sb (0.7514, 0.0000, 0.7484) (multiplicity 1)
As (0.1234, 0.5000, 0.8733) (multiplicity 1)
As (0.6262, 0.5000, 0.3724) (multiplicity 1)
As (0.8750, 0.5000, 0.1243) (multiplicity 1)
As (0.9984, 0.0000, 0.4976) (multiplicity 1)
Ir (0.1204, 0.5000, 0.6220) (multiplicity 1)
Ir (0.2464, 0.0000, 0.9949) (multiplicity 1)
Ir (0.3776, 0.5000, 0.3721) (multiplicity 1)
Ir (0.5002, 0.0000, 0.7488) (multiplicity 1)
Ir (0.6291, 0.5000, 0.1281) (multiplicity 1)
Ir (0.7523, 0.0000, 0.4961) (multiplicity 1)
Ir (0.8793, 0.5000, 0.8762) (multiplicity 1)
Ir (0.9972, 0.0000, 0.2492) (multiplicity 1)

***

# 6
# TaAsIr2
Calculated powder XRD pattern, Cu Ka. Input: a DFT-relaxed cell (GGA-PBE, OQMD).
Kinematic intensities with the Lorentz-polarization factor, no thermal factor.

The 10 most intense peaks (2θ from 10° to 90°), sorted by position:
2θ (°), intensity
24.4, 8
28.2, 3
40.3, 100
47.7, 4
58.4, 17
64.2, 2
66.1, 1
73.3, 35
78.6, 1
87.2, 12

Structure:
Unit cell a=6.3248 b=6.3248 c=6.3248 alpha=90.00 beta=90.00 gamma=90.00
Space group F-43m (No. 216)
Unique sites:
Ta (0.0000, 0.0000, 0.0000) (multiplicity 4)
As (0.2500, 0.2500, 0.7500) (multiplicity 4)
Ir (0.0000, 0.0000, 0.5000) (multiplicity 4)
Ir (0.2500, 0.2500, 0.2500) (multiplicity 4)